Theoretical powder diffraction line list
Compound: NaCo2H3Se2O10
Radiation: Cu Kα
Structure: the GGA+U geometry in Alexandria

Principal peaks in the range 15° ≤ 2θ ≤ 90°, in order of rising 2θ:
d 5.082, 2θ = 17.45°, intensity 96, hkl 0 1 1; d 3.652, 2θ = 24.37°, intensity 36, hkl 1 1 -2; d 3.475, 2θ = 25.64°, intensity 100, hkl 1 -1 2; d 3.298, 2θ = 27.03°, intensity 90, hkl 1 -2 1; d 2.991, 2θ = 29.88°, intensity 83, hkl 1 2 -1; d 2.941, 2θ = 30.39°, intensity 51, hkl 1 0 -3; d 2.729, 2θ = 32.82°, intensity 45, hkl 2 0 0; d 2.624, 2θ = 34.17°, intensity 99, hkl 0 1 3; d 1.727, 2θ = 53.04°, intensity 33, hkl 0 4 -4; d 1.714, 2θ = 53.47°, intensity 51, hkl 1 0 5; d 1.649, 2θ = 55.74°, intensity 21, hkl 2 -4 2; d 1.625, 2θ = 56.64°, intensity 25, hkl -2 2 4

Structural model:
Lattice parameters (Å, degrees): 5.563 7.732 10.043 106.91 96.41 96.78
Space group P-1 (No. 2)
Unique sites:
Na: 0.000 0.000 0.000 x1
Na: 0.500 0.500 0.500 x1
Co: 0.000 0.500 0.000 x1
Co: 0.246 0.252 0.751 x2
Co: 0.500 0.000 0.500 x1
H: 0.080 0.546 0.263 x2
H: 0.268 0.763 0.250 x2
H: 0.424 0.956 0.231 x2
Se: 0.013 0.810 0.602 x2
Se: 0.486 0.692 0.896 x2
O: 0.061 0.996 0.745 x2
O: 0.063 0.635 0.211 x2
O: 0.094 0.376 0.362 x2
O: 0.207 0.164 0.521 x2
O: 0.226 0.718 0.966 x2
O: 0.274 0.785 0.531 x2
O: 0.295 0.334 0.981 x2
O: 0.404 0.125 0.143 x2
O: 0.437 0.866 0.283 x2
O: 0.439 0.503 0.754 x2